# 1
Simulated powder diffractogram
Compound: PuBePH
Radiation: Cu Kα, 1.54184 Å
Structure: DFT lattice parameters and positions (GGA-PBE)
Neutral-atom scattering factors, no anomalous dispersion.

```
data_PuBePH
_chemical_formula_sum 'Pu1 Be1 P1 H1'
_space_group_name_H-M_alt 'P 3 m 1'
_space_group_IT_number 156
_cell_length_a 3.8157
_cell_length_b 3.8157
_cell_length_c 4.0087
_cell_angle_alpha 90.00
_cell_angle_beta 90.00
_cell_angle_gamma 120.00
loop_
_space_group_symop_operation_xyz
'x,y,z'
'-y,x-y,z'
'-x+y,-x,z'
'-y,-x,z'
'-x+y,y,z'
'x,x-y,z'
loop_
_atom_site_label
_atom_site_type_symbol
_atom_site_fract_x
_atom_site_fract_y
_atom_site_fract_z
Pu1 Pu 0.0000 0.0000 0.0000
Be1 Be 0.3333 0.6667 0.4793
P1 P 0.6667 0.3333 0.5314
H1 H 0.3333 0.6667 0.0929
```

Principal peaks in the range 5° ≤ 2θ ≤ 70°, in order of rising 2θ:
22.18 deg, I = 32, hkl 0 0 1; 26.98 deg, I = 71, hkl 1 0 0; 35.20 deg, I = 100, hkl 0 1 1; 45.24 deg, I = 9, hkl 0 0 2; 47.67 deg, I = 25, hkl 1 1 0; 53.17 deg, I = 20, hkl 1 1 1; 53.47 deg, I = 24, hkl 1 0 2; 55.63 deg, I = 10, hkl 2 0 0; 60.62 deg, I = 21, hkl 2 0 1; 67.82 deg, I = 17, hkl 1 1 2

# 2
Simulated powder diffractogram
Compound: Rb3TlF8
Radiation: Cu Kα, 1.54184 Å
Structure: DFT lattice parameters and positions (GGA-PBE)
Neutral-atom scattering factors, no anomalous dispersion.

```
data_Rb3TlF8
_chemical_formula_sum 'Rb6 Tl2 F16'
_space_group_name_H-M_alt 'I 4/m m m'
_space_group_IT_number 139
_space_group_name_Hall '-I 4 2'
_cell_length_a 6.2919
_cell_length_b 6.2919
_cell_length_c 12.5863
_cell_angle_alpha 90.00
_cell_angle_beta 90.00
_cell_angle_gamma 90.00
loop_
_atom_site_label
_atom_site_type_symbol
_atom_site_fract_x
_atom_site_fract_y
_atom_site_fract_z
Rb1 Rb 0.0000 0.0000 0.0000
Rb2 Rb 0.0000 0.5000 0.2500
Tl1 Tl 0.0000 0.0000 0.5000
F1 F 0.2096 0.2096 0.3927
```

Principal peaks in the range 5° ≤ 2θ ≤ 70°, in order of rising 2θ:
14.07 deg, I = 9, hkl 0 0 2; 15.75 deg, I = 27, hkl 1 0 1; 24.50 deg, I = 100, hkl 1 1 2; 28.37 deg, I = 24, hkl 2 0 0; 40.55 deg, I = 62, hkl 2 0 4; 47.95 deg, I = 47, hkl 3 1 2; 50.23 deg, I = 9, hkl 2 2 4; 58.69 deg, I = 9, hkl 0 0 8; 64.56 deg, I = 21, hkl 3 3 2; 66.45 deg, I = 14, hkl 4 2 0

# 3
Simulated powder diffractogram
Compound: CaSiTeIr2
Radiation: Cu Kα, 1.54184 Å
Structure: DFT lattice parameters and positions (GGA-PBE)
Neutral-atom scattering factors, no anomalous dispersion.

```
data_CaSiTeIr2
_chemical_formula_sum 'Ca1 Si1 Te1 Ir2'
_space_group_name_H-M_alt 'P 4/m m m'
_space_group_IT_number 123
_space_group_name_Hall '-P 4 2'
_cell_length_a 4.8951
_cell_length_b 4.8951
_cell_length_c 5.5135
_cell_angle_alpha 90.00
_cell_angle_beta 90.00
_cell_angle_gamma 90.00
loop_
_atom_site_label
_atom_site_type_symbol
_atom_site_fract_x
_atom_site_fract_y
_atom_site_fract_z
Ca1 Ca 0.0000 0.0000 0.0000
Si1 Si 0.5000 0.5000 0.5000
Te1 Te 0.0000 0.0000 0.5000
Ir1 Ir 0.0000 0.5000 0.0000
```

Principal peaks in the range 5° ≤ 2θ ≤ 70°, in order of rising 2θ:
16.08 deg, I = 34, hkl 0 0 1; 18.12 deg, I = 14, hkl 1 0 0; 30.49 deg, I = 100, hkl 1 1 1; 32.48 deg, I = 29, hkl 0 0 2; 36.72 deg, I = 42, hkl 2 0 0; 49.82 deg, I = 35, hkl 2 0 2; 52.90 deg, I = 15, hkl 2 2 0; 56.71 deg, I = 18, hkl 1 1 3; 62.30 deg, I = 27, hkl 3 1 1; 63.46 deg, I = 17, hkl 2 2 2

# 4
Simulated powder diffractogram
Compound: SmY2Tm5
Radiation: Cu Kα, 1.54184 Å
Structure: DFT lattice parameters and positions (GGA-PBE)
Neutral-atom scattering factors, no anomalous dispersion.

```
data_SmY2Tm5
_chemical_formula_sum 'Sm2 Y4 Tm10'
_space_group_name_H-M_alt 'I 4/m m m'
_space_group_IT_number 139
_space_group_name_Hall '-I 4 2'
_cell_length_a 7.0527
_cell_length_b 7.0527
_cell_length_c 9.9481
_cell_angle_alpha 90.00
_cell_angle_beta 90.00
_cell_angle_gamma 90.00
loop_
_atom_site_label
_atom_site_type_symbol
_atom_site_fract_x
_atom_site_fract_y
_atom_site_fract_z
Sm1 Sm 0.0000 0.0000 0.0000
Y1 Y 0.0000 0.5000 0.0000
Tm1 Tm 0.0000 0.0000 0.5000
Tm2 Tm 0.2500 0.2500 0.2500
```

Principal peaks in the range 5° ≤ 2θ ≤ 70°, in order of rising 2θ:
17.81 deg, I = 4, hkl 0 0 2; 25.27 deg, I = 4, hkl 2 0 0; 31.09 deg, I = 100, hkl 2 0 2; 36.05 deg, I = 50, hkl 2 2 0; 40.48 deg, I = 2, hkl 2 2 2; 44.55 deg, I = 2, hkl 2 0 4; 51.90 deg, I = 36, hkl 4 0 0; 61.70 deg, I = 28, hkl 4 2 2; 61.83 deg, I = 14, hkl 2 0 6; 64.82 deg, I = 12, hkl 4 0 4

# 5
Simulated powder diffractogram
Compound: BeGeMo
Radiation: Cu Kα, 1.54184 Å
Structure: DFT lattice parameters and positions (GGA-PBE)
Neutral-atom scattering factors, no anomalous dispersion.

```
data_BeGeMo
_chemical_formula_sum 'Be1 Ge1 Mo1'
_space_group_name_H-M_alt 'P -6 m 2'
_space_group_IT_number 187
_space_group_name_Hall 'P -6 2'
_cell_length_a 4.0635
_cell_length_b 4.0635
_cell_length_c 2.7403
_cell_angle_alpha 90.00
_cell_angle_beta 90.00
_cell_angle_gamma 120.00
loop_
_atom_site_label
_atom_site_type_symbol
_atom_site_fract_x
_atom_site_fract_y
_atom_site_fract_z
Be1 Be 0.0000 0.0000 0.0000
Ge1 Ge 0.6667 0.3333 0.0000
Mo1 Mo 0.3333 0.6667 0.5000
```

Principal peaks in the range 5° ≤ 2θ ≤ 70°, in order of rising 2θ:
25.31 deg, I = 58, hkl 1 0 0; 41.78 deg, I = 100, hkl 1 0 1; 44.60 deg, I = 58, hkl 1 1 0; 51.97 deg, I = 8, hkl 2 0 0; 62.76 deg, I = 29, hkl 2 0 1; 68.48 deg, I = 5, hkl 0 0 2

# 6
Simulated powder diffractogram
Compound: Ce2Br5F
Radiation: Cu Kα, 1.54184 Å
Structure: DFT lattice parameters and positions (GGA-PBE)
Neutral-atom scattering factors, no anomalous dispersion.

```
data_Ce2Br5F
_chemical_formula_sum 'Ce8 Br20 F4'
_space_group_name_H-M_alt 'C m c m'
_space_group_IT_number 63
_space_group_name_Hall '-C 2c 2'
_cell_length_a 3.6674
_cell_length_b 14.7096
_cell_length_c 20.6843
_cell_angle_alpha 90.00
_cell_angle_beta 90.00
_cell_angle_gamma 90.00
loop_
_atom_site_label
_atom_site_type_symbol
_atom_site_fract_x
_atom_site_fract_y
_atom_site_fract_z
Ce1 Ce 0.0000 0.2486 0.1607
Br1 Br 0.0000 0.1122 0.6138
Br2 Br 0.0000 0.3500 0.5776
Br3 Br 0.0000 0.3879 0.7500
F1 F 0.0000 0.1994 0.7500
```

Principal peaks in the range 5° ≤ 2θ ≤ 70°, in order of rising 2θ:
8.55 deg, I = 26, hkl 0 0 2; 12.03 deg, I = 100, hkl 0 2 0; 17.15 deg, I = 41, hkl 0 0 4; 24.69 deg, I = 23, hkl 0 2 5; 30.75 deg, I = 78, hkl 1 3 1; 33.20 deg, I = 61, hkl 1 1 5; 35.70 deg, I = 45, hkl 0 4 6; 39.51 deg, I = 34, hkl 1 5 1; 39.65 deg, I = 38, hkl 1 1 7; 62.70 deg, I = 17, hkl 2 4 6

# 7
Simulated powder diffractogram
Compound: LaSm5Tm3
Radiation: Cu Kα, 1.54184 Å
Structure: DFT lattice parameters and positions (GGA-PBE)
Neutral-atom scattering factors, no anomalous dispersion.

```
data_LaSm5Tm3
_chemical_formula_sum 'La4 Sm20 Tm12'
_space_group_name_H-M_alt 'I 4/m c m'
_space_group_IT_number 140
_space_group_name_Hall '-I 4 2c'
_cell_length_a 8.5098
_cell_length_b 8.5098
_cell_length_c 16.5106
_cell_angle_alpha 90.00
_cell_angle_beta 90.00
_cell_angle_gamma 90.00
loop_
_atom_site_label
_atom_site_type_symbol
_atom_site_fract_x
_atom_site_fract_y
_atom_site_fract_z
La1 La 0.0000 0.5000 0.2500
Sm1 Sm 0.0000 0.0000 0.0000
Sm2 Sm 0.1955 0.3045 0.1378
Tm1 Tm 0.0000 0.0000 0.2500
Tm2 Tm 0.1243 0.3757 0.5000
```

Principal peaks in the range 5° ≤ 2θ ≤ 70°, in order of rising 2θ:
28.52 deg, I = 84, hkl 2 1 3; 29.69 deg, I = 43, hkl 2 2 0; 30.17 deg, I = 100, hkl 2 0 4; 33.29 deg, I = 26, hkl 3 1 0; 36.01 deg, I = 21, hkl 2 1 5; 38.53 deg, I = 17, hkl 3 2 1; 43.90 deg, I = 30, hkl 0 0 8; 47.02 deg, I = 16, hkl 4 1 3; 52.99 deg, I = 15, hkl 4 2 4; 56.19 deg, I = 15, hkl 3 1 8

# 8
Simulated powder diffractogram
Compound: Li2DyErTl4
Radiation: Cu Kα, 1.54184 Å
Structure: DFT lattice parameters and positions (GGA-PBE)
Neutral-atom scattering factors, no anomalous dispersion.

```
data_Li2DyErTl4
_chemical_formula_sum 'Li6 Dy3 Er3 Tl12'
_space_group_name_H-M_alt 'R -3 m'
_space_group_IT_number 166
_space_group_name_Hall '-R 3 2"'
_cell_length_a 5.1786
_cell_length_b 5.1786
_cell_length_c 25.2657
_cell_angle_alpha 90.00
_cell_angle_beta 90.00
_cell_angle_gamma 120.00
loop_
_atom_site_label
_atom_site_type_symbol
_atom_site_fract_x
_atom_site_fract_y
_atom_site_fract_z
Li1 Li 0.0000 0.0000 0.2499
Dy1 Dy 0.0000 0.0000 0.0000
Er1 Er 0.0000 0.0000 0.5000
Tl1 Tl 0.0000 0.0000 0.1255
Tl2 Tl 0.0000 0.0000 0.3754
```

Principal peaks in the range 5° ≤ 2θ ≤ 70°, in order of rising 2θ:
21.04 deg, I = 18, hkl 0 0 6; 24.34 deg, I = 20, hkl 1 0 4; 34.69 deg, I = 100, hkl 1 1 0; 40.90 deg, I = 7, hkl 1 1 6; 42.79 deg, I = 5, hkl 0 2 4; 49.88 deg, I = 18, hkl 2 0 8; 56.18 deg, I = 4, hkl 2 1 4; 56.32 deg, I = 4, hkl 1 1 12; 62.13 deg, I = 28, hkl 3 0 0; 62.34 deg, I = 9, hkl 1 0 16